Simulated powder diffractogram of RbEr2Cu3S5 for a wavelength of 1.5418 Å, from a cell relaxed with GGA-PBE.

Principal peaks in the range 2θ = 10–90°, by angle:
2theta  Rel. int.
12.77  41
26.28  46
28.76  100
30.38  40
31.86  44
32.83  52
37.24  51
39.81  41
46.29  39
49.48  41

Crystal structure
Cell: 7.2050 7.2050 16.3665 Å, 90.00 90.00 148.41°
Element x y z (fractional)
Rb1 0.0661 0.9339 0.7500
Rb2 0.9339 0.0661 0.2500
Er1 0.1919 0.8081 0.0932
Er2 0.1919 0.8081 0.4068
Er3 0.8081 0.1919 0.5932
Er4 0.8081 0.1919 0.9068
Cu1 0.3470 0.6530 0.7500
Cu2 0.4167 0.5833 0.0387
Cu3 0.4167 0.5833 0.4613
Cu4 0.5833 0.4167 0.5387
Cu5 0.5833 0.4167 0.9613
Cu6 0.6530 0.3470 0.2500
S1 0.1683 0.8317 0.5695
S2 0.1683 0.8317 0.9305
S3 0.2394 0.7606 0.2500
S4 0.4381 0.5619 0.6147
S5 0.4381 0.5619 0.8853
S6 0.5619 0.4381 0.1147
S7 0.5619 0.4381 0.3853
S8 0.7606 0.2394 0.7500
S9 0.8317 0.1683 0.0695
S10 0.8317 0.1683 0.4305